[1]
Simulated X-ray powder pattern of Tb2SmS4 for Cu Kα X-rays, from a PBE-relaxed structure.
Kinematic intensities with the Lorentz-polarization factor, no thermal factor.

Top 10 peaks for 2θ = 10–80°, sorted by position:
d 3.493, I 100.0; d 3.374, I 96.1; d 3.062, I 31.9; d 2.739, I 32.9; d 2.719, I 87.5; d 2.573, I 43.4; d 2.267, I 58.0; d 1.832, I 36.7; d 1.793, I 38.2; d 1.694, I 40.5

a b c (Å): 7.3377 7.3377 7.3377
angles (deg): 107.67 107.67 113.14
Fractional coordinates of all 14 atoms:
Tb  0.0404  0.6250  0.9154
Tb  0.3750  0.2904  0.4154
Tb  0.7096  0.1250  0.0846
Tb  0.8750  0.9596  0.5846
Sm  0.2500  0.7500  0.5000
Sm  0.5000  0.5000  0.0000
S  0.1190  0.3762  0.6162
S  0.1262  0.3690  0.1162
S  0.2528  0.0100  0.8838
S  0.4972  0.8810  0.2572
S  0.6238  0.2400  0.7428
S  0.6310  0.7472  0.7572
S  0.7600  0.5028  0.3838
S  0.9900  0.8738  0.2428


[2]
Simulated X-ray powder pattern of Tb4Sm3ThS8 for Cu Kα X-rays, from a PBE-relaxed structure.
Kinematic intensities with the Lorentz-polarization factor, no thermal factor.

Top 10 peaks for 2θ = 10–80°, sorted by position:
d 3.260, I 21.1; d 3.239, I 62.1; d 2.810, I 100.0; d 1.992, I 36.5; d 1.982, I 36.0; d 1.693, I 20.5; d 1.619, I 18.8; d 1.405, I 11.7; d 1.259, I 16.2; d 1.254, I 16.1

a b c (Å): 7.9664 7.9664 7.9664
angles (deg): 59.67 59.67 59.67
Fractional coordinates of all 16 atoms:
Tb  0.0000  0.0000  0.0000
Tb  0.0000  0.5000  0.5000
Tb  0.5000  0.0000  0.5000
Tb  0.5000  0.5000  0.0000
Sm  0.0000  0.0000  0.5000
Sm  0.0000  0.5000  0.0000
Sm  0.5000  0.0000  0.0000
Th  0.5000  0.5000  0.5000
S  0.2465  0.2465  0.7481
S  0.2465  0.7481  0.2465
S  0.2519  0.7535  0.7535
S  0.2527  0.2527  0.2527
S  0.7473  0.7473  0.7473
S  0.7481  0.2465  0.2465
S  0.7535  0.2519  0.7535
S  0.7535  0.7535  0.2519


[3]
Simulated X-ray powder pattern of Sm7Te4S4 for Cu Kα X-rays, from a PBE-relaxed structure.
Kinematic intensities with the Lorentz-polarization factor, no thermal factor.

Top 10 peaks for 2θ = 10–80°, sorted by position:
d 3.545, I 42.3; d 2.841, I 22.0; d 2.766, I 100.0; d 2.504, I 16.2; d 2.438, I 29.0; d 2.053, I 8.9; d 1.857, I 37.5; d 1.773, I 10.4; d 1.446, I 10.3; d 1.283, I 9.3

a b c (Å): 11.1946 11.1946 11.1946
angles (deg): 95.76 95.76 143.06
Fractional coordinates of all 30 atoms:
Sm  0.0000  0.2871  0.2871
Sm  0.0000  0.7129  0.7129
Sm  0.1167  0.5000  0.6167
Sm  0.2488  0.2488  0.0000
Sm  0.2864  0.2864  0.5729
Sm  0.2864  0.7136  0.0000
Sm  0.2871  0.0000  0.2871
Sm  0.5000  0.1167  0.6167
Sm  0.5000  0.8833  0.3833
Sm  0.7129  0.0000  0.7129
Sm  0.7136  0.2864  0.0000
Sm  0.7136  0.7136  0.4271
Sm  0.7512  0.7512  0.0000
Sm  0.8833  0.5000  0.3833
Te  0.1308  0.1308  0.2616
Te  0.1308  0.8692  0.0000
Te  0.3223  0.5000  0.8223
Te  0.5000  0.3223  0.8223
Te  0.5000  0.6777  0.1777
Te  0.6777  0.5000  0.1777
Te  0.8692  0.1308  0.0000
Te  0.8692  0.8692  0.7384
S  0.1025  0.6025  0.2051
S  0.1025  0.8975  0.5000
S  0.3975  0.6025  0.5000
S  0.3975  0.8975  0.7949
S  0.6025  0.1025  0.2051
S  0.6025  0.3975  0.5000
S  0.8975  0.1025  0.5000
S  0.8975  0.3975  0.7949


[4]
Simulated X-ray powder pattern of Sm2TeS4 for Cu Kα X-rays, from a PBE-relaxed structure.
Kinematic intensities with the Lorentz-polarization factor, no thermal factor.

Top 10 peaks for 2θ = 10–80°, sorted by position:
d 6.955, I 21.9; d 5.696, I 25.3; d 3.727, I 100.0; d 3.122, I 13.1; d 2.734, I 13.3; d 2.323, I 39.0; d 2.208, I 17.0; d 2.052, I 17.8; d 1.899, I 30.7; d 1.503, I 12.6

a b c (Å): 8.2377 8.2377 8.2377
angles (deg): 135.46 135.46 64.82
Fractional coordinates of all 7 atoms:
Sm  0.2500  0.7500  0.5000
Sm  0.7500  0.2500  0.5000
Te  0.0000  0.0000  0.0000
S  0.0827  0.6314  0.0000
S  0.3686  0.3686  0.4513
S  0.6314  0.0827  0.0000
S  0.9173  0.9173  0.5487


[5]
Simulated X-ray powder pattern of Sm3TeS3 for Cu Kα X-rays, from a PBE-relaxed structure.
Kinematic intensities with the Lorentz-polarization factor, no thermal factor.

Top 10 peaks for 2θ = 10–80°, sorted by position:
d 6.667, I 22.5; d 3.607, I 16.0; d 3.529, I 100.0; d 2.693, I 51.5; d 2.573, I 21.9; d 2.405, I 15.7; d 2.336, I 38.5; d 2.067, I 13.4; d 1.948, I 13.8; d 1.676, I 18.7

a b c (Å): 8.5956 8.5956 8.5956
angles (deg): 56.16 56.16 56.16
Fractional coordinates of all 14 atoms:
Sm  0.1062  0.7111  0.4754
Sm  0.2889  0.5246  0.8938
Sm  0.4754  0.1062  0.7111
Sm  0.5246  0.8938  0.2889
Sm  0.7111  0.4754  0.1062
Sm  0.8938  0.2889  0.5246
Te  0.3300  0.3300  0.3300
Te  0.6700  0.6700  0.6700
S  0.1110  0.3830  0.8360
S  0.1640  0.8890  0.6170
S  0.3830  0.8360  0.1110
S  0.6170  0.1640  0.8890
S  0.8360  0.1110  0.3830
S  0.8890  0.6170  0.1640


[6]
Simulated X-ray powder pattern of Sm4TeS3 for Cu Kα X-rays, from a PBE-relaxed structure.
Kinematic intensities with the Lorentz-polarization factor, no thermal factor.

Top 10 peaks for 2θ = 10–80°, sorted by position:
d 3.498, I 19.6; d 3.416, I 22.8; d 2.970, I 68.6; d 2.796, I 100.0; d 2.038, I 79.1; d 1.923, I 10.7; d 1.679, I 12.6; d 1.646, I 20.3; d 1.314, I 12.5; d 1.280, I 17.5

a b c (Å): 4.0725 4.0725 27.5209
angles (deg): 90.00 90.00 120.00
Fractional coordinates of all 16 atoms:
Sm  0.0000  0.0000  0.1726
Sm  0.0000  0.0000  0.3274
Sm  0.0000  0.0000  0.6726
Sm  0.0000  0.0000  0.8274
Sm  0.3333  0.6667  0.0612
Sm  0.3333  0.6667  0.4388
Sm  0.6667  0.3333  0.5612
Sm  0.6667  0.3333  0.9388
Te  0.3333  0.6667  0.2500
Te  0.6667  0.3333  0.7500
S  0.0000  0.0000  0.0000
S  0.0000  0.0000  0.5000
S  0.3333  0.6667  0.6168
S  0.3333  0.6667  0.8832
S  0.6667  0.3333  0.1168
S  0.6667  0.3333  0.3832


What did the fourth record say?
Simulated X-ray powder pattern of Sm2TeS4 for Cu Kα X-rays, from a PBE-relaxed structure.
Kinematic intensities with the Lorentz-polarization factor, no thermal factor.

Top 10 peaks for 2θ = 10–80°, sorted by position:
d 6.955, I 21.9; d 5.696, I 25.3; d 3.727, I 100.0; d 3.122, I 13.1; d 2.734, I 13.3; d 2.323, I 39.0; d 2.208, I 17.0; d 2.052, I 17.8; d 1.899, I 30.7; d 1.503, I 12.6

a b c (Å): 8.2377 8.2377 8.2377
angles (deg): 135.46 135.46 64.82
Fractional coordinates of all 7 atoms:
Sm  0.2500  0.7500  0.5000
Sm  0.7500  0.2500  0.5000
Te  0.0000  0.0000  0.0000
S  0.0827  0.6314  0.0000
S  0.3686  0.3686  0.4513
S  0.6314  0.0827  0.0000
S  0.9173  0.9173  0.5487